Entry 1:
# Y10H21
Computed powder XRD pattern, Cu Kα (λ = 1.5418 Å). Input: the GGA-PBE geometry in Alexandria.
Lines closer than 0.1° are merged.

Structural model:
a = 6.350 Å, b = 7.331 Å, c = 8.197 Å
α = 102.88°, β = 97.39°, γ = 106.73°
Atoms (fractional coordinates):
1 Y 0.001 0.250 0.001
2 Y 0.202 0.653 0.401
3 Y 0.204 0.149 0.400
4 Y 0.399 0.551 0.801
5 Y 0.400 0.049 0.797
6 Y 0.600 0.951 0.203
7 Y 0.601 0.449 0.199
8 Y 0.796 0.851 0.600
9 Y 0.798 0.347 0.599
10 Y 0.999 0.750 0.999
11 H 0.048 0.474 0.849
12 H 0.050 0.975 0.849
13 H 0.140 0.923 0.551
14 H 0.150 0.425 0.549
15 H 0.243 0.872 0.244
16 H 0.251 0.376 0.252
17 H 0.350 0.323 0.950
18 H 0.351 0.827 0.951
19 H 0.448 0.282 0.654
20 H 0.448 0.769 0.653
21 H 0.500 0.000 0.500
22 H 0.552 0.231 0.347
23 H 0.552 0.718 0.346
24 H 0.649 0.173 0.049
25 H 0.650 0.677 0.050
26 H 0.749 0.624 0.748
27 H 0.757 0.128 0.756
28 H 0.850 0.575 0.451
29 H 0.860 0.077 0.449
30 H 0.950 0.025 0.151
31 H 0.952 0.526 0.151

Top 10 peaks for 10 to 90 degrees two-theta, by intensity:
- 2θ = 29.8°, I 100
- 2θ = 34.6°, I 47
- 2θ = 59.1°, I 37
- 2θ = 49.7°, I 37
- 2θ = 62.0°, I 11
- 2θ = 80.8°, I 11
- 2θ = 83.3°, I 7
- 2θ = 83.4°, I 7
- 2θ = 73.0°, I 5
- 2θ = 80.8°, I 5

***

Entry 2:
# Y4H
Computed powder XRD pattern, Cu Kα (λ = 1.5418 Å). Input: the GGA-PBE geometry in Alexandria.
Lines closer than 0.1° are merged.

Structural model:
a = 5.024 Å, b = 5.024 Å, c = 5.024 Å
α = 90.00°, β = 90.00°, γ = 90.00°
Atoms (fractional coordinates):
1 Y 0.000 0.000 0.000
2 Y 0.000 0.500 0.500
3 Y 0.500 0.000 0.500
4 Y 0.500 0.500 0.000
5 H 0.500 0.500 0.500

Top 8 peaks for 10 to 90 degrees two-theta, by intensity:
- 2θ = 30.8°, I 100
- 2θ = 35.7°, I 51
- 2θ = 61.2°, I 40
- 2θ = 51.4°, I 35
- 2θ = 84.0°, I 16
- 2θ = 86.7°, I 15
- 2θ = 64.2°, I 12
- 2θ = 75.7°, I 5

***

Entry 3:
# Zr4Zn2H
Computed powder XRD pattern, Cu Kα (λ = 1.5418 Å). Input: the GGA-PBE geometry in Alexandria.
Lines closer than 0.1° are merged.

Structural model:
a = 8.081 Å, b = 8.081 Å, c = 8.081 Å
α = 150.51°, β = 150.51°, γ = 42.19°
Atoms (fractional coordinates):
1 Zr 0.000 0.500 0.500
2 Zr 0.181 0.181 0.000
3 Zr 0.500 0.000 0.500
4 Zr 0.819 0.819 0.000
5 Zn 0.364 0.364 0.000
6 Zn 0.636 0.636 0.000
7 H 0.000 0.000 0.000

Top 10 peaks for 10 to 90 degrees two-theta, by intensity:
- 2θ = 33.0°, I 100
- 2θ = 39.1°, I 73
- 2θ = 44.0°, I 56
- 2θ = 37.0°, I 32
- 2θ = 35.7°, I 31
- 2θ = 57.9°, I 30
- 2θ = 77.7°, I 18
- 2θ = 73.9°, I 18
- 2θ = 64.0°, I 17
- 2θ = 58.8°, I 16

***

Entry 4:
# Zr3H
Computed powder XRD pattern, Cu Kα (λ = 1.5418 Å). Input: the GGA-PBE geometry in Alexandria.
Lines closer than 0.1° are merged.

Structural model:
a = 5.419 Å, b = 5.419 Å, c = 5.419 Å
α = 147.56°, β = 68.05°, γ = 122.00°
Atoms (fractional coordinates):
1 Zr 0.000 0.000 0.000
2 Zr 0.320 0.499 0.822
3 Zr 0.677 0.499 0.178
4 H 0.327 0.827 0.500

Top 10 peaks for 10 to 90 degrees two-theta, by intensity:
- 2θ = 34.5°, I 100
- 2θ = 39.8°, I 78
- 2θ = 34.1°, I 65
- 2θ = 31.2°, I 52
- 2θ = 46.9°, I 33
- 2θ = 61.3°, I 28
- 2θ = 72.2°, I 22
- 2θ = 70.7°, I 17
- 2θ = 64.9°, I 17
- 2θ = 59.9°, I 14

***

Entry 5:
# ZrH4
Computed powder XRD pattern, Cu Kα (λ = 1.5418 Å). Input: the GGA-PBE geometry in Alexandria.
Lines closer than 0.1° are merged.

Structural model:
a = 3.762 Å, b = 5.796 Å, c = 3.464 Å
α = 90.00°, β = 90.00°, γ = 90.00°
Atoms (fractional coordinates):
1 Zr 0.000 0.000 0.000
2 Zr 0.500 0.500 0.000
3 H 0.000 0.347 0.000
4 H 0.000 0.653 0.000
5 H 0.212 0.125 0.500
6 H 0.288 0.625 0.500
7 H 0.500 0.153 0.000
8 H 0.500 0.847 0.000
9 H 0.712 0.375 0.500
10 H 0.788 0.875 0.500

Top 10 peaks for 10 to 90 degrees two-theta, by intensity:
- 2θ = 28.3°, I 100
- 2θ = 38.6°, I 84
- 2θ = 25.7°, I 66
- 2θ = 30.9°, I 40
- 2θ = 40.6°, I 37
- 2θ = 60.1°, I 24
- 2θ = 61.0°, I 22
- 2θ = 64.9°, I 18
- 2θ = 53.3°, I 17
- 2θ = 55.6°, I 16

***

Entry 6:
# Zr2H3
Computed powder XRD pattern, Cu Kα (λ = 1.5418 Å). Input: the GGA-PBE geometry in Alexandria.
Lines closer than 0.1° are merged.

Structural model:
a = 3.355 Å, b = 3.355 Å, c = 4.835 Å
α = 90.00°, β = 90.00°, γ = 90.00°
Atoms (fractional coordinates):
1 Zr 0.000 0.500 0.241
2 Zr 0.500 0.000 0.759
3 H 0.000 0.000 0.500
4 H 0.500 0.500 0.000
5 H 0.500 0.500 0.500

Top 10 peaks for 10 to 90 degrees two-theta, by intensity:
- 2θ = 32.5°, I 100
- 2θ = 37.9°, I 31
- 2θ = 65.1°, I 25
- 2θ = 54.2°, I 23
- 2θ = 37.2°, I 16
- 2θ = 64.1°, I 13
- 2θ = 54.7°, I 11
- 2θ = 68.0°, I 11
- 2θ = 89.2°, I 11
- 2θ = 81.1°, I 3

***

Entry 7:
# Zr3H
Computed powder XRD pattern, Cu Kα (λ = 1.5418 Å). Input: the GGA-PBE geometry in Alexandria.
Lines closer than 0.1° are merged.

Structural model:
a = 7.859 Å, b = 7.859 Å, c = 7.859 Å
α = 97.08°, β = 97.08°, γ = 138.91°
Atoms (fractional coordinates):
1 Zr 0.079 0.392 0.526
2 Zr 0.152 0.054 0.433
3 Zr 0.160 0.208 0.813
4 Zr 0.281 0.848 0.902
5 Zr 0.395 0.347 0.187
6 Zr 0.447 0.921 0.313
7 Zr 0.608 0.134 0.687
8 Zr 0.621 0.719 0.567
9 Zr 0.653 0.840 0.048
10 Zr 0.792 0.605 0.952
11 Zr 0.866 0.553 0.474
12 Zr 0.946 0.379 0.098
13 H 0.051 0.214 0.045
14 H 0.169 0.006 0.955
15 H 0.786 0.831 0.837
16 H 0.994 0.949 0.163

Top 10 peaks for 10 to 90 degrees two-theta, by intensity:
- 2θ = 35.1°, I 100
- 2θ = 34.7°, I 58
- 2θ = 39.2°, I 51
- 2θ = 30.4°, I 26
- 2θ = 27.1°, I 18
- 2θ = 56.1°, I 17
- 2θ = 53.6°, I 16
- 2θ = 24.2°, I 13
- 2θ = 51.2°, I 13
- 2θ = 51.4°, I 12

***

Entry 8:
# He
Computed powder XRD pattern, Cu Kα (λ = 1.5418 Å). Input: the GGA-PBE geometry in Alexandria.
Lines closer than 0.1° are merged.

Structural model:
a = 2.686 Å, b = 2.686 Å, c = 2.686 Å
α = 60.00°, β = 60.00°, γ = 60.00°
Atoms (fractional coordinates):
1 He 0.000 0.000 0.000

Top 5 peaks for 10 to 90 degrees two-theta, by intensity:
- 2θ = 41.2°, I 100
- 2θ = 47.9°, I 43
- 2θ = 70.1°, I 17
- 2θ = 84.6°, I 15
- 2θ = 89.3°, I 4

***

Entry 9:
# SiO2He
Computed powder XRD pattern, Cu Kα (λ = 1.5418 Å). Input: the GGA-PBE geometry in Alexandria.
Lines closer than 0.1° are merged.

Structural model:
a = 9.146 Å, b = 9.146 Å, c = 9.146 Å
α = 33.17°, β = 33.17°, γ = 33.17°
Atoms (fractional coordinates):
1 Si 0.062 0.062 0.062
2 Si 0.438 0.438 0.438
3 Si 0.562 0.562 0.562
4 Si 0.938 0.938 0.938
5 O 0.000 0.000 0.000
6 O 0.203 0.750 0.297
7 O 0.250 0.703 0.797
8 O 0.297 0.203 0.750
9 O 0.500 0.500 0.500
10 O 0.703 0.797 0.250
11 O 0.750 0.297 0.203
12 O 0.797 0.250 0.703
13 He 0.184 0.184 0.184
14 He 0.316 0.316 0.316
15 He 0.684 0.684 0.684
16 He 0.816 0.816 0.816

Top 10 peaks for 10 to 90 degrees two-theta, by intensity:
- 2θ = 20.8°, I 100
- 2θ = 20.6°, I 35
- 2θ = 34.1°, I 23
- 2θ = 34.3°, I 23
- 2θ = 54.1°, I 10
- 2θ = 42.3°, I 10
- 2θ = 71.7°, I 7
- 2θ = 61.3°, I 7
- 2θ = 76.2°, I 6
- 2θ = 72.4°, I 6

***

Entry 10:
# Zn6O6He
Computed powder XRD pattern, Cu Kα (λ = 1.5418 Å). Input: the GGA-PBE geometry in Alexandria.
Lines closer than 0.1° are merged.

Structural model:
a = 5.676 Å, b = 5.676 Å, c = 5.676 Å
α = 90.00°, β = 90.00°, γ = 90.00°
Atoms (fractional coordinates):
1 Zn 0.000 0.250 0.500
2 Zn 0.000 0.750 0.500
3 Zn 0.250 0.500 0.000
4 Zn 0.500 0.000 0.250
5 Zn 0.500 0.000 0.750
6 Zn 0.750 0.500 0.000
7 O 0.000 0.500 0.250
8 O 0.000 0.500 0.750
9 O 0.250 0.000 0.500
10 O 0.500 0.250 0.000
11 O 0.500 0.750 0.000
12 O 0.750 0.000 0.500
13 He 0.000 0.000 0.000

Top 10 peaks for 10 to 90 degrees two-theta, by intensity:
- 2θ = 22.1°, I 100
- 2θ = 35.4°, I 95
- 2θ = 38.9°, I 49
- 2θ = 56.1°, I 43
- 2θ = 58.6°, I 23
- 2θ = 61.1°, I 23
- 2θ = 31.5°, I 22
- 2θ = 77.0°, I 20
- 2θ = 65.8°, I 19
- 2θ = 50.9°, I 19

***

Entry 11:
# Si23He
Computed powder XRD pattern, Cu Kα (λ = 1.5418 Å). Input: the GGA-PBE geometry in Alexandria.
Lines closer than 0.1° are merged.

Structural model:
a = 10.236 Å, b = 10.236 Å, c = 10.236 Å
α = 90.00°, β = 90.00°, γ = 90.00°
Atoms (fractional coordinates):
1 Si 0.000 0.117 0.308
2 Si 0.000 0.117 0.692
3 Si 0.000 0.250 0.500
4 Si 0.000 0.750 0.500
5 Si 0.000 0.883 0.308
6 Si 0.000 0.883 0.692
7 Si 0.117 0.308 0.000
8 Si 0.117 0.692 0.000
9 Si 0.184 0.184 0.184
10 Si 0.184 0.184 0.816
11 Si 0.184 0.816 0.184
12 Si 0.184 0.816 0.816
13 Si 0.192 0.383 0.500
14 Si 0.192 0.617 0.500
15 Si 0.250 0.500 0.000
16 Si 0.308 0.000 0.117
17 Si 0.308 0.000 0.883
18 Si 0.316 0.316 0.316
19 Si 0.316 0.316 0.684
20 Si 0.316 0.684 0.316
21 Si 0.316 0.684 0.684
22 Si 0.383 0.500 0.192
23 Si 0.383 0.500 0.808
24 Si 0.500 0.000 0.250
25 Si 0.500 0.000 0.750
26 Si 0.500 0.192 0.383
27 Si 0.500 0.192 0.617
28 Si 0.500 0.808 0.383
29 Si 0.500 0.808 0.617
30 Si 0.617 0.500 0.192
31 Si 0.617 0.500 0.808
32 Si 0.684 0.316 0.316
33 Si 0.684 0.316 0.684
34 Si 0.684 0.684 0.316
35 Si 0.684 0.684 0.684
36 Si 0.692 0.000 0.117
37 Si 0.692 0.000 0.883
38 Si 0.750 0.500 0.000
39 Si 0.808 0.383 0.500
40 Si 0.808 0.617 0.500
41 Si 0.816 0.184 0.184
42 Si 0.816 0.184 0.816
43 Si 0.816 0.816 0.184
44 Si 0.816 0.816 0.816
45 Si 0.883 0.308 0.000
46 Si 0.883 0.692 0.000
47 He 0.000 0.000 0.000
48 He 0.500 0.500 0.500

Top 10 peaks for 10 to 90 degrees two-theta, by intensity:
- 2θ = 19.4°, I 100
- 2θ = 32.7°, I 89
- 2θ = 52.1°, I 81
- 2θ = 21.3°, I 61
- 2θ = 55.3°, I 46
- 2θ = 36.2°, I 34
- 2θ = 40.4°, I 32
- 2θ = 30.2°, I 30
- 2θ = 52.9°, I 28
- 2θ = 31.5°, I 24

***

Entry 12:
# Hf
Computed powder XRD pattern, Cu Kα (λ = 1.5418 Å). Input: the GGA-PBE geometry in Alexandria.
Lines closer than 0.1° are merged.

Structural model:
a = 6.047 Å, b = 6.047 Å, c = 4.910 Å
α = 90.00°, β = 90.00°, γ = 150.20°
Atoms (fractional coordinates):
1 Hf 0.066 0.934 0.750
2 Hf 0.322 0.678 0.750
3 Hf 0.678 0.322 0.250
4 Hf 0.934 0.066 0.250

Top 10 peaks for 10 to 90 degrees two-theta, by intensity:
- 2θ = 35.8°, I 100
- 2θ = 35.0°, I 93
- 2θ = 36.6°, I 48
- 2θ = 37.0°, I 39
- 2θ = 53.0°, I 28
- 2θ = 71.4°, I 27
- 2θ = 41.5°, I 18
- 2θ = 65.3°, I 18
- 2θ = 48.7°, I 17
- 2θ = 62.5°, I 16